Diffraction record for NaHfNbSi2SO12. The powder diffraction line list is theoretical, not measured: it uses the PBE geometry in the Materials Project and copper Kα.

a = 15.523 Å, b = 8.955 Å, c = 9.272 Å
α = 90.00°, β = 123.78°, γ = 90.00°
Space group Cc (No. 9)
Unique sites:
Na (0.000, 0.239, 0.000)
Hf (0.152, 0.236, 0.431)
Nb (0.362, 0.250, 0.060)
Si (0.255, 0.041, 0.245)
Si (0.396, 0.393, 0.741)
S (0.110, 0.393, 0.746)
O (0.018, 0.320, 0.731)
O (0.103, 0.445, 0.267)
O (0.108, 0.368, 0.588)
O (0.178, 0.151, 0.262)
O (0.182, 0.062, 0.576)
O (0.202, 0.326, 0.903)
O (0.291, 0.330, 0.574)
O (0.323, 0.072, 0.915)
O (0.335, 0.143, 0.221)
O (0.393, 0.362, 0.916)
O (0.399, 0.422, 0.219)
O (0.497, 0.314, 0.765)

The 10 most intense peaks (2θ from 15° to 90°), sorted by position:
2θ = 19.15°, intensity 81.0
2θ = 19.82°, intensity 100.0
2θ = 22.97°, intensity 37.5
2θ = 27.69°, intensity 46.3
2θ = 30.60°, intensity 65.3
2θ = 34.29°, intensity 25.5
2θ = 34.69°, intensity 32.4
2θ = 44.95°, intensity 14.6
2θ = 46.92°, intensity 22.0
2θ = 54.17°, intensity 21.0

---

Diffraction record for Na3HfNbSi3O12. The powder diffraction line list is theoretical, not measured: it uses the PBE geometry in the Materials Project and copper Kα.

a = 15.805 Å, b = 9.137 Å, c = 9.113 Å
α = 90.00°, β = 124.92°, γ = 90.00°
Space group Cc (No. 9)
Unique sites:
Na (0.000, 0.055, 0.000)
Na (0.062, 0.273, 0.704)
Na (0.307, 0.113, 0.952)
Hf (0.415, 0.249, 0.774)
Nb (0.201, 0.254, 0.140)
Si (0.163, 0.104, 0.463)
Si (0.305, 0.459, 0.961)
Si (0.453, 0.108, 0.451)
O (0.049, 0.306, 0.962)
O (0.064, 0.165, 0.456)
O (0.157, 0.077, 0.964)
O (0.163, 0.143, 0.284)
O (0.221, 0.354, 0.961)
O (0.242, 0.426, 0.287)
O (0.270, 0.162, 0.643)
O (0.344, 0.169, 0.267)
O (0.376, 0.443, 0.640)
O (0.384, 0.353, 0.947)
O (0.451, 0.157, 0.620)
O (0.461, 0.069, 0.950)

The 10 most intense peaks (2θ from 15° to 90°), sorted by position:
2θ = 19.42°, intensity 100.0
2θ = 19.48°, intensity 15.2
2θ = 27.65°, intensity 18.7
2θ = 30.88°, intensity 31.1
2θ = 31.02°, intensity 17.3
2θ = 33.93°, intensity 14.1
2θ = 34.01°, intensity 31.6
2θ = 44.37°, intensity 11.4
2θ = 46.63°, intensity 10.4
2θ = 53.01°, intensity 11.7